Computed powder XRD pattern
Compound: LiV2P2O8
Radiation: CuKα
Structure: a crystal structure in Alexandria, relaxed with PBE+U
Peak positions follow from Bragg's law for the DFT cell and can differ from measured ones.

Largest 6 diffraction maxima, in order of rising 2θ, 2θ from 10° to 80°:
2θ 20.68, intensity 54, (0 1 1); 2θ 23.97, intensity 41, (1 0 -2); 2θ 24.75, intensity 100, (1 1 1); 2θ 33.76, intensity 74, (2 0 -2); 2θ 34.34, intensity 44, (2 1 1); 2θ 35.12, intensity 68, (0 1 3)

Structural model:
abc: 6.579 4.890 8.992
angles: 90.00 90.13 90.00
Positions (direct):
Li1 0.000 0.227 0.000
Li2 0.000 0.773 0.500
V1 0.267 0.250 0.334
V2 0.267 0.750 0.834
V3 0.753 0.252 0.335
V4 0.753 0.748 0.835
P1 0.011 0.273 0.658
P2 0.011 0.727 0.158
P3 0.508 0.237 0.012
P4 0.508 0.763 0.512
O1 0.023 0.038 0.205
O2 0.023 0.309 0.482
O3 0.023 0.691 0.982
O4 0.023 0.962 0.705
O5 0.198 0.418 0.722
O6 0.198 0.582 0.222
O7 0.316 0.086 0.951
O8 0.316 0.914 0.451
O9 0.495 0.461 0.456
O10 0.495 0.539 0.956
O11 0.496 0.206 0.186
O12 0.496 0.794 0.686
O13 0.710 0.109 0.964
O14 0.710 0.891 0.464
O15 0.813 0.401 0.706
O16 0.813 0.599 0.206